Record 1
This entry pairs a crystal structure of Mg5Tl3In with its calculated X-ray diffraction stick pattern. Radiation: Cu Kα X-rays. Structure: a crystal structure in Alexandria, relaxed with PBE.
Kinematic intensities with the Lorentz-polarization factor, no thermal factor.

Cell lengths 9.0546, 9.0546, 6.2104 Å; angles 90.00, 90.00, 120.00 degrees
Space group P6_3/mcm (No. 193)
Symmetry-distinct sites (fractional):
Mg: 0.0000 0.3013 0.2500 x6
Mg: 0.3333 0.6667 0.0000 x4
Tl: 0.0000 0.3677 0.7500 x6
In: 0.0000 0.0000 0.0000 x2

The 8 most intense peaks (2θ = 5–70°), in order of rising 2θ:
2θ 22.68, I 19
2θ 24.33, I 100
2θ 33.50, I 19
2θ 34.31, I 66
2θ 35.04, I 53
2θ 42.51, I 18
2θ 45.35, I 19
2θ 61.91, I 20



Record 2
This entry pairs a crystal structure of C23Se4 with its calculated X-ray diffraction stick pattern. Radiation: Cu Kα X-rays. Structure: a crystal structure in Alexandria, relaxed with PBE.
Kinematic intensities with the Lorentz-polarization factor, no thermal factor.

Cell lengths 7.486, 7.486, 7.486 Å; angles 90.00, 90.00, 90.00 degrees
Space group Pm-3n (No. 223)
Symmetry-distinct sites (fractional):
C: 0.000 0.212 0.278 x24
C: 0.000 0.250 0.500 x6
C: 0.187 0.187 0.187 x16
Se: 0.000 0.000 0.000 x2
Se: 0.000 0.500 0.250 x6

The 8 most intense peaks (2θ = 5–70°), in order of rising 2θ:
2θ 26.63, I 73
2θ 29.22, I 100
2θ 43.59, I 45
2θ 45.33, I 90
2θ 48.65, I 45
2θ 56.32, I 21
2θ 67.37, I 24
2θ 68.68, I 14



Record 3
This entry pairs a crystal structure of Al4CuNi2 with its calculated X-ray diffraction stick pattern. Radiation: Cu Kα X-rays. Structure: a crystal structure in Alexandria, relaxed with PBE.
Kinematic intensities with the Lorentz-polarization factor, no thermal factor.

Cell lengths 2.931, 2.820, 22.797 Å; angles 90.00, 90.00, 90.00 degrees
Space group Pmc2_1 (No. 26)
Symmetry-distinct sites (fractional):
Al: 0.000 0.198 0.000 x2
Al: 0.000 0.199 0.873 x2
Al: 0.000 0.206 0.128 x2
Al: 0.000 0.220 0.733 x2
Cu: 0.500 0.297 0.303 x2
Ni: 0.500 0.302 0.435 x2
Ni: 0.500 0.303 0.564 x2

The 8 most intense peaks (2θ = 5–70°), in order of rising 2θ:
2θ 7.76, I 96
2θ 15.55, I 25
2θ 31.98, I 21
2θ 38.80, I 22
2θ 42.40, I 87
2θ 44.33, I 98
2θ 44.78, I 100
2θ 48.30, I 21



Record 4
This entry pairs a crystal structure of Nd3Y2HoTe6 with its calculated X-ray diffraction stick pattern. Radiation: Cu Kα X-rays. Structure: a crystal structure in Alexandria, relaxed with PBE.
Kinematic intensities with the Lorentz-polarization factor, no thermal factor.

Cell lengths 19.382, 4.384, 8.949 Å; angles 90.00, 104.41, 90.00 degrees
Space group C2/m (No. 12)
Symmetry-distinct sites (fractional):
Nd: 0.000 0.000 0.000 x2
Nd: 0.168 0.500 0.333 x4
Y: 0.167 0.500 0.834 x4
Ho: 0.000 0.000 0.500 x2
Te: 0.002 0.500 0.742 x4
Te: 0.163 0.000 0.589 x4
Te: 0.169 0.000 0.077 x4

The 8 most intense peaks (2θ = 5–70°), in order of rising 2θ:
2θ 28.51, I 100
2θ 40.32, I 13
2θ 40.49, I 25
2θ 41.05, I 25
2θ 41.19, I 12
2θ 50.86, I 13
2θ 59.02, I 12
2θ 67.23, I 11



Record 5
This entry pairs a crystal structure of BaCdSbI with its calculated X-ray diffraction stick pattern. Radiation: Cu Kα X-rays. Structure: a crystal structure in Alexandria, relaxed with PBE.
Kinematic intensities with the Lorentz-polarization factor, no thermal factor.

Cell lengths 4.9299, 4.9299, 47.6013 Å; angles 90.00, 90.00, 120.00 degrees
Space group R-3m (No. 166, hexagonal axes)
Symmetry-distinct sites (fractional):
Ba: 0.0000 0.0000 0.0855 x6
Cd: 0.0000 0.0000 0.3105 x6
Sb: 0.0000 0.0000 0.3736 x6
I: 0.0000 0.0000 0.2072 x6

The 8 most intense peaks (2θ = 5–70°), in order of rising 2θ:
2θ 5.57, I 91
2θ 21.14, I 29
2θ 22.12, I 24
2θ 24.62, I 80
2θ 28.08, I 64
2θ 32.21, I 35
2θ 36.45, I 100
2θ 38.45, I 42



Record 6
This entry pairs a crystal structure of Ni5Pb with its calculated X-ray diffraction stick pattern. Radiation: Cu Kα X-rays. Structure: a crystal structure in Alexandria, relaxed with PBE.
Kinematic intensities with the Lorentz-polarization factor, no thermal factor.

Cell lengths 3.767, 10.981, 3.726 Å; angles 90.00, 90.00, 90.00 degrees
Space group Cmmm (No. 65)
Symmetry-distinct sites (fractional):
Ni: 0.000 0.000 0.000 x2
Ni: 0.000 0.176 0.500 x4
Ni: 0.000 0.322 0.000 x4
Pb: 0.000 0.500 0.500 x2

The 8 most intense peaks (2θ = 5–70°), in order of rising 2θ:
2θ 16.14, I 11
2θ 24.99, I 13
2θ 28.96, I 10
2θ 34.84, I 15
2θ 42.10, I 100
2θ 48.32, I 17
2θ 48.89, I 16
2θ 49.82, I 14